# Cr2O5
Theoretical XRD peak list, a wavelength of 1.5418 Å. Input: a cell relaxed with GGA+U.
Kinematic intensities with the Lorentz-polarization factor, no thermal factor.

Top 6 peaks for 5° ≤ 2θ ≤ 70°, in order of rising 2θ:
- (0 2 0), 5.384 Å, 16.46°, rel. 305
- (0 0 1), 5.259 Å, 16.86°, rel. 1000
- (0 1 1), 4.725 Å, 18.78°, rel. 337
- (1 1 0), 3.513 Å, 25.35°, rel. 458
- (1 0 1), 3.035 Å, 29.43°, rel. 276
- (0 3 1), 2.965 Å, 30.15°, rel. 348

Crystal structure
abc: 3.717 10.768 5.259
angles: 90.00 90.00 90.00
Space group Pmmn (No. 59, origin choice 2)
Asymmetric unit:
Cr1 0.250 0.095 0.110 [4 per cell]
O1 0.250 0.097 0.411 [4 per cell]
O2 0.250 0.250 0.978 [2 per cell]
O3 0.250 0.569 0.975 [4 per cell]